No. 1
Computed X-ray diffraction stick pattern
Compound: Sr4TlFe2O9
Radiation: Cu Kα (λ = 1.5418 Å)
Structure: a PBE+U-relaxed structure

Main lines, in order of falling intensity (2θ = 15–90°):
Position (°2θ)	I/Imax
30.9	1000
33.1	328
32.8	321
47.3	315
24.7	191
57.7	176
41.1	174
57.4	171
64.4	161
27.4	125

Atomic structure:
```
Sr4TlFe2O9
1.0
0.0000 15.3742 2.7279
2.7077 0.0000 2.7279
2.7077 15.3742 0.0000
Sr Tl Fe O
4 1 2 9
Direct
0.0818 0.9182 0.0818
0.2064 0.7955 0.2045
0.7955 0.2064 0.7936
0.9182 0.0818 0.9182
0.4698 0.4698 0.5302
0.3524 0.6498 0.3502
0.6498 0.3524 0.6476
0.0405 0.0405 0.9595
0.1439 0.3577 0.1415
0.2882 0.7142 0.2858
0.3577 0.1439 0.3569
0.4422 0.5789 0.4211
0.5789 0.4422 0.5578
0.6431 0.8585 0.6423
0.7142 0.2882 0.7118
0.8585 0.6431 0.8561
```

---

No. 2
Computed X-ray diffraction stick pattern
Compound: LiV2O3F3
Radiation: Cu Kα (λ = 1.5418 Å)
Structure: a PBE+U-relaxed structure

Main lines, in order of falling intensity (2θ = 15–90°):
Position (°2θ)	I/Imax
23.5	1000
23.8	973
24.5	969
40.0	281
53.5	272
55.0	247
33.5	222
48.1	221
41.0	209
33.1	205

Atomic structure:
```
LiV2O3F3
1.0
5.0956 0.0000 0.0000
2.4506 4.5102 0.0000
0.2437 0.2737 13.4927
Li V O F
3 6 9 9
Direct
0.0000 0.0000 0.0000
0.3205 0.3230 0.3307
0.6656 0.6585 0.6606
0.3220 0.3339 0.6236
0.3789 0.3305 0.1167
0.6058 0.6800 0.4438
0.6579 0.6919 0.9570
0.9474 0.0313 0.7779
0.9623 0.9912 0.2929
0.0420 0.2922 0.7088
0.3169 0.7005 0.3743
0.3724 0.6178 0.0399
0.5496 0.4237 0.5491
0.5913 0.0202 0.0459
0.6243 0.2897 0.2068
0.6579 0.0457 0.7090
0.6832 0.9579 0.3754
0.8885 0.7692 0.8826
0.0431 0.6620 0.2032
0.2367 0.0964 0.2092
0.2775 0.6817 0.7123
0.2857 0.9562 0.8824
0.3721 0.9933 0.5446
0.7110 0.3438 0.8765
0.9411 0.3383 0.3741
0.9515 0.6089 0.5457
0.9811 0.3816 0.0409
```